Structure and calculated X-ray powder pattern of Nd4Cu2Au (the GGA-PBE geometry in OQMD; CuKα).

Cell: 8.0236 8.0236 8.0236 Å, 138.78 138.78 59.71°
Atoms (fractional coordinates):
Nd 0.0000 0.5000 0.5000
Nd 0.2114 0.2114 0.0000
Nd 0.5000 0.0000 0.5000
Nd 0.7886 0.7886 0.0000
Cu 0.4122 0.4122 0.0000
Cu 0.5878 0.5878 0.0000
Au 0.0000 0.0000 0.0000

Peak list (10 most intense, 2θ = 10–80°, in order of rising 2θ)
- 6.959 Å, 2θ 12.72, intensity 43
- 3.994 Å, 2θ 22.26, intensity 33
- 3.479 Å, 2θ 25.60, intensity 33
- 3.464 Å, 2θ 25.72, intensity 33
- 2.824 Å, 2θ 31.68, intensity 100
- 2.497 Å, 2θ 35.97, intensity 61
- 2.193 Å, 2θ 41.16, intensity 38
- 1.997 Å, 2θ 45.41, intensity 37
- 1.871 Å, 2θ 48.67, intensity 51
- 1.732 Å, 2θ 52.88, intensity 28



Structure and calculated X-ray powder pattern of Nd2CuSi2Au (the GGA-PBE geometry in OQMD; CuKα).

Cell: 4.2641 4.2641 8.1951 Å, 90.00 90.00 120.00°
Atoms (fractional coordinates):
Nd 0.0000 0.0000 0.2419
Nd 0.0000 0.0000 0.7581
Cu 0.6667 0.3333 0.0000
Si 0.3333 0.6667 0.0000
Si 0.6667 0.3333 0.5000
Au 0.3333 0.6667 0.5000

Peak list (10 most intense, 2θ = 10–80°, in order of rising 2θ)
- 8.195 Å, 2θ 10.80, intensity 12
- 3.693 Å, 2θ 24.10, intensity 14
- 3.367 Å, 2θ 26.47, intensity 31
- 2.743 Å, 2θ 32.64, intensity 100
- 2.132 Å, 2θ 42.40, intensity 43
- 2.049 Å, 2θ 44.21, intensity 12
- 1.683 Å, 2θ 54.52, intensity 27
- 1.477 Å, 2θ 62.91, intensity 26
- 1.321 Å, 2θ 71.39, intensity 21
- 1.281 Å, 2θ 74.00, intensity 9



Structure and calculated X-ray powder pattern of Nd3Cu2Si4Au2 (the GGA-PBE geometry in OQMD; CuKα).

Cell: 12.6111 12.6111 12.6111 Å, 160.94 160.60 27.32°
Atoms (fractional coordinates):
Nd 0.0000 0.0000 0.0000
Nd 0.1446 0.6446 0.5000
Nd 0.8554 0.3554 0.5000
Cu 0.4071 0.9071 0.5000
Cu 0.5929 0.0929 0.5000
Si 0.3128 0.8128 0.5000
Si 0.4511 0.4511 0.0000
Si 0.5489 0.5489 0.0000
Si 0.6872 0.1872 0.5000
Au 0.2501 0.2501 0.0000
Au 0.7499 0.7499 0.0000

Peak list (10 most intense, 2θ = 10–80°, in order of rising 2θ)
- 3.718 Å, 2θ 23.93, intensity 12
- 3.064 Å, 2θ 29.15, intensity 15
- 2.702 Å, 2θ 33.16, intensity 19
- 2.679 Å, 2θ 33.45, intensity 100
- 2.406 Å, 2θ 37.37, intensity 12
- 2.124 Å, 2θ 42.56, intensity 18
- 2.088 Å, 2θ 43.34, intensity 17
- 1.489 Å, 2θ 62.36, intensity 11
- 1.310 Å, 2θ 72.09, intensity 11
- 1.293 Å, 2θ 73.20, intensity 10



Structure and calculated X-ray powder pattern of Tm3Zn3CuNiAu (the GGA-PBE geometry in OQMD; CuKα).

Cell: 7.1780 7.1780 3.7299 Å, 90.00 90.00 120.00°
Atoms (fractional coordinates):
Tm 0.0176 0.4200 0.0000
Tm 0.4024 0.9824 0.0000
Tm 0.5800 0.5976 0.0000
Zn 0.0102 0.7599 0.5000
Zn 0.2401 0.2503 0.5000
Zn 0.7497 0.9898 0.5000
Cu 0.0000 0.0000 0.0000
Ni 0.3333 0.6667 0.5000
Au 0.6667 0.3333 0.5000

Peak list (10 most intense, 2θ = 10–80°, in order of rising 2θ)
- 6.216 Å, 2θ 14.25, intensity 20
- 2.586 Å, 2θ 34.69, intensity 100
- 2.388 Å, 2θ 37.67, intensity 86
- 2.350 Å, 2θ 38.31, intensity 48
- 2.072 Å, 2θ 43.68, intensity 28
- 1.988 Å, 2θ 45.63, intensity 19
- 1.865 Å, 2θ 48.83, intensity 21
- 1.565 Å, 2θ 59.02, intensity 24
- 1.461 Å, 2θ 63.71, intensity 21
- 1.332 Å, 2θ 70.72, intensity 24



Structure and calculated X-ray powder pattern of Cu2Pd3Au3 (the GGA-PBE geometry in OQMD; CuKα).

Cell: 8.1581 8.1581 8.1581 Å, 151.77 151.12 40.83°
Atoms (fractional coordinates):
Cu 0.2495 0.2495 0.0000
Cu 0.7505 0.7505 0.0000
Pd 0.1356 0.6356 0.5000
Pd 0.5000 0.5000 0.0000
Pd 0.8644 0.3644 0.5000
Au 0.0000 0.0000 0.0000
Au 0.3647 0.8647 0.5000
Au 0.6353 0.1353 0.5000

Peak list (10 most intense, 2θ = 10–80°, in order of rising 2θ)
- 3.851 Å, 2θ 23.09, intensity 7
- 2.666 Å, 2θ 33.61, intensity 9
- 2.282 Å, 2θ 39.48, intensity 100
- 2.035 Å, 2θ 44.53, intensity 18
- 1.990 Å, 2θ 45.59, intensity 17
- 1.912 Å, 2θ 47.56, intensity 15
- 1.423 Å, 2θ 65.63, intensity 12
- 1.393 Å, 2θ 67.19, intensity 11
- 1.378 Å, 2θ 68.01, intensity 9
- 1.217 Å, 2θ 78.61, intensity 13



Structure and calculated X-ray powder pattern of CuPd2Au2 (the GGA-PBE geometry in OQMD; CuKα).

Cell: 7.0396 7.0396 7.0396 Å, 149.56 149.56 43.59°
Atoms (fractional coordinates):
Cu 0.0000 0.0000 0.0000
Pd 0.2500 0.7500 0.5000
Pd 0.7500 0.2500 0.5000
Au 0.4022 0.4022 0.0000
Au 0.5978 0.5978 0.0000

Peak list (10 most intense, 2θ = 10–80°, in order of rising 2θ)
- 3.557 Å, 2θ 25.03, intensity 99
- 2.819 Å, 2θ 31.74, intensity 27
- 2.427 Å, 2θ 37.04, intensity 100
- 2.179 Å, 2θ 41.44, intensity 25
- 2.135 Å, 2θ 42.34, intensity 85
- 2.041 Å, 2θ 44.38, intensity 71
- 1.848 Å, 2θ 49.30, intensity 59
- 1.640 Å, 2θ 56.08, intensity 23
- 1.409 Å, 2θ 66.32, intensity 25
- 1.397 Å, 2θ 66.97, intensity 44



Structure and calculated X-ray powder pattern of Pr2CuAu (the GGA-PBE geometry in OQMD; CuKα).

Cell: 4.7119 5.8087 7.5155 Å, 90.00 90.00 90.00°
Atoms (fractional coordinates):
Pr 0.0000 0.1120 0.0000
Pr 0.0000 0.8880 0.5000
Pr 0.5000 0.3823 0.3636
Pr 0.5000 0.6177 0.8636
Cu 0.5000 0.1161 0.7202
Cu 0.5000 0.8839 0.2202
Au 0.0000 0.3817 0.6463
Au 0.0000 0.6183 0.1463

Peak list (10 most intense, 2θ = 10–80°, in order of rising 2θ)
- 3.290 Å, 2θ 27.10, intensity 43
- 2.938 Å, 2θ 30.43, intensity 81
- 2.709 Å, 2θ 33.07, intensity 60
- 2.622 Å, 2θ 34.20, intensity 97
- 2.356 Å, 2θ 38.20, intensity 54
- 2.349 Å, 2θ 38.33, intensity 100
- 2.300 Å, 2θ 39.16, intensity 35
- 1.778 Å, 2θ 51.40, intensity 35
- 1.646 Å, 2θ 55.86, intensity 25
- 1.284 Å, 2θ 73.77, intensity 30



Structure and calculated X-ray powder pattern of PrCuAu (the GGA-PBE geometry in OQMD; CuKα).

Cell: 5.8179 5.8179 7.2849 Å, 128.19 128.19 45.31°
Atoms (fractional coordinates):
Pr 0.0348 0.0348 0.2842
Pr 0.9652 0.9652 0.7158
Cu 0.3482 0.3482 0.3084
Cu 0.6518 0.6518 0.6916
Au 0.3230 0.3230 0.8637
Au 0.6770 0.6770 0.1363

Peak list (10 most intense, 2θ = 10–80°, in order of rising 2θ)
- 3.817 Å, 2θ 23.30, intensity 26
- 2.749 Å, 2θ 32.58, intensity 34
- 2.704 Å, 2θ 33.13, intensity 16
- 2.672 Å, 2θ 33.54, intensity 100
- 2.657 Å, 2θ 33.74, intensity 25
- 2.505 Å, 2θ 35.84, intensity 14
- 2.330 Å, 2θ 38.64, intensity 12
- 2.286 Å, 2θ 39.42, intensity 64
- 2.241 Å, 2θ 40.24, intensity 36
- 1.718 Å, 2θ 53.34, intensity 17



Structure and calculated X-ray powder pattern of PrCuSi2Au (the GGA-PBE geometry in OQMD; CuKα).

Cell: 5.9333 5.9333 5.9333 Å, 138.56 138.56 60.04°
Atoms (fractional coordinates):
Pr 0.0000 0.0000 0.0000
Cu 0.7500 0.2500 0.5000
Si 0.3844 0.3844 0.0000
Si 0.6156 0.6156 0.0000
Au 0.2500 0.7500 0.5000

Peak list (10 most intense, 2θ = 10–80°, in order of rising 2θ)
- 3.886 Å, 2θ 22.88, intensity 36
- 2.654 Å, 2θ 33.78, intensity 25
- 2.570 Å, 2θ 34.91, intensity 100
- 2.099 Å, 2θ 43.10, intensity 30
- 1.846 Å, 2θ 49.36, intensity 20
- 1.646 Å, 2θ 55.85, intensity 12
- 1.625 Å, 2θ 56.63, intensity 15
- 1.484 Å, 2θ 62.61, intensity 23
- 1.386 Å, 2θ 67.59, intensity 12
- 1.285 Å, 2θ 73.72, intensity 29



Structure and calculated X-ray powder pattern of CuAuSeS3 (the GGA-PBE geometry in OQMD; CuKα).

Cell: 4.4467 7.1277 7.8016 Å, 90.00 93.15 90.00°
Atoms (fractional coordinates):
Cu 0.0523 0.2500 0.1706
Cu 0.9477 0.7500 0.8294
Au 0.5000 0.0000 0.5000
Au 0.5000 0.5000 0.5000
Se 0.0684 0.7500 0.1417
Se 0.9316 0.2500 0.8583
S 0.1698 0.7500 0.5708
S 0.3840 0.5042 0.1956
S 0.3840 0.9958 0.1956
S 0.6160 0.0042 0.8044
S 0.6160 0.4958 0.8044
S 0.8302 0.2500 0.4292

Peak list (10 most intense, 2θ = 10–80°, in order of rising 2θ)
- 7.790 Å, 2θ 11.36, intensity 48
- 3.952 Å, 2θ 22.50, intensity 77
- 3.241 Å, 2θ 27.52, intensity 48
- 2.851 Å, 2θ 31.37, intensity 30
- 2.779 Å, 2θ 32.21, intensity 100
- 2.596 Å, 2θ 34.55, intensity 48
- 1.931 Å, 2θ 47.07, intensity 28
- 1.866 Å, 2θ 48.81, intensity 28
- 1.851 Å, 2θ 49.22, intensity 30
- 1.469 Å, 2θ 63.30, intensity 22



Structure and calculated X-ray powder pattern of CuSb5Au3 (the GGA-PBE geometry in OQMD; CuKα).

Cell: 5.5220 5.5220 9.1589 Å, 90.00 90.00 120.00°
Atoms (fractional coordinates):
Cu 0.0000 0.0000 0.0000
Sb 0.0000 0.0000 0.5000
Sb 0.3333 0.6667 0.1601
Sb 0.3333 0.6667 0.8399
Sb 0.6667 0.3333 0.1601
Sb 0.6667 0.3333 0.8399
Au 0.0000 0.5000 0.5000
Au 0.5000 0.0000 0.5000
Au 0.5000 0.5000 0.5000

Peak list (10 most intense, 2θ = 10–80°, in order of rising 2θ)
- 4.782 Å, 2θ 18.55, intensity 32
- 4.579 Å, 2θ 19.38, intensity 51
- 3.053 Å, 2θ 29.25, intensity 74
- 2.761 Å, 2θ 32.43, intensity 30
- 2.643 Å, 2θ 33.91, intensity 39
- 2.573 Å, 2θ 34.87, intensity 33
- 2.314 Å, 2θ 38.93, intensity 99
- 2.120 Å, 2θ 42.66, intensity 100
- 1.654 Å, 2θ 55.57, intensity 51
- 1.258 Å, 2θ 75.60, intensity 30



Structure and calculated X-ray powder pattern of Sc2CuAu3 (the GGA-PBE geometry in OQMD; CuKα).

Cell: 3.5072 3.5072 8.7280 Å, 90.00 90.00 90.00°
Atoms (fractional coordinates):
Sc 0.0000 0.0000 0.0000
Sc 0.5000 0.5000 0.4930
Cu 0.5000 0.5000 0.1655
Au 0.0000 0.0000 0.3190
Au 0.0000 0.0000 0.6570
Au 0.5000 0.5000 0.8459

Peak list (10 most intense, 2θ = 10–80°, in order of rising 2θ)
- 8.728 Å, 2θ 10.13, intensity 10
- 4.364 Å, 2θ 20.35, intensity 14
- 3.254 Å, 2θ 27.41, intensity 38
- 2.734 Å, 2θ 32.76, intensity 11
- 2.480 Å, 2θ 36.22, intensity 70
- 2.239 Å, 2θ 40.28, intensity 100
- 2.156 Å, 2θ 41.90, intensity 10
- 1.754 Å, 2θ 52.16, intensity 24
- 1.381 Å, 2θ 67.89, intensity 42
- 1.255 Å, 2θ 75.82, intensity 14